For Zr2TaMnO8, a cell relaxed with GGA+U gives the theoretical powder diffraction line list in this record (Cu Kα (λ = 1.5418 Å)).
Intensities are scaled so that the largest is 1000.

Main lines, in order of rising 2θ (10° ≤ 2θ ≤ 90°):
Position (°2θ)  d/Å  Rel. int.
13.7  6.449  319
25.8  3.447  1000
26.5  3.370  912
32.9  2.718  818
33.9  2.643  680
37.3  2.409  446
49.6  1.839  340
51.0  1.792  341
51.6  1.770  599
64.0  1.455  332

Atomic structure:
a = 4.823 Å, b = 4.823 Å, c = 6.455 Å
α = 91.78°, β = 91.78°, γ = 88.64°
Positions (direct):
Zr: 0.005 0.005 0.254
Zr: 0.995 0.995 0.746
Ta: 0.500 0.500 0.000
Mn: 0.500 0.500 0.500
O: 0.202 0.798 0.000
O: 0.204 0.796 0.500
O: 0.296 0.296 0.778
O: 0.323 0.323 0.247
O: 0.677 0.677 0.753
O: 0.704 0.704 0.222
O: 0.796 0.204 0.500
O: 0.798 0.202 0.000